Structure and calculated powder X-ray diffraction pattern of Li3Si2Ni2O8 (a GGA+U-relaxed structure; Cu Kα (weighted mean of Kα1 and Kα2)).

Crystal structure
```
Li3Si2Ni2O8
1.0
4.976 0.000 0.000
0.052 5.348 0.000
0.010 0.123 6.441
Li Si Ni O
3 2 2 8
Direct
0.000 0.000 0.000
0.008 0.528 0.745
0.500 0.349 0.499
0.490 0.865 0.748
0.998 0.502 0.251
0.000 0.006 0.479
0.505 0.349 0.999
0.058 0.797 0.242
0.102 0.371 0.471
0.127 0.364 0.040
0.160 0.868 0.744
0.597 0.566 0.772
0.601 0.023 0.951
0.613 0.000 0.543
0.671 0.442 0.238
```

Top 10 peaks for 10 to 90 degrees two-theta, by intensity:
| Position (°2θ) | Rel. int. | hkl |
| --- | --- | --- |
| 22.6 | 100 | 1 0 -1 |
| 21.4 | 44 | 0 1 1 |
| 36.1 | 43 | 2 0 0 |
| 21.8 | 35 | 0 1 -1 |
| 33.5 | 26 | 0 2 0 |
| 32.7 | 21 | 0 1 -2 |
| 32.2 | 16 | 0 1 2 |
| 57.2 | 15 | 0 0 4 |
| 36.9 | 11 | 1 1 2 |
| 58.7 | 11 | 0 3 2 |